The following is a computed powder X-ray diffraction pattern of RbLaTiNbO6F. It was derived from DFT lattice parameters and positions (GGA-PBE), using copper Kα.

Crystal structure
```
data_RbLaTiNbO6F
_chemical_formula_sum 'Rb1 La1 Ti1 Nb1 O6 F1'
_cell_length_a 3.865
_cell_length_b 3.909
_cell_length_c 11.324
_cell_angle_alpha 90.00
_cell_angle_beta 90.00
_cell_angle_gamma 90.00
_symmetry_space_group_name_H-M 'P m m 2'
_symmetry_Int_Tables_number 25
loop_
_symmetry_equiv_pos_as_xyz
'x,y,z'
'-x,-y,z'
'-x,y,z'
'x,-y,z'
loop_
_atom_site_label
_atom_site_type_symbol
_atom_site_fract_x
_atom_site_fract_y
_atom_site_fract_z
_atom_site_occupancy
Rb1 Rb 0.000 0.000 0.000 1
La1 La 0.000 0.000 0.483 1
Ti1 Ti 0.500 0.500 0.278 1
Nb1 Nb 0.500 0.500 0.689 1
O1 O 0.000 0.500 0.316 1
O2 O 0.000 0.500 0.647 1
O3 O 0.500 0.000 0.646 1
O4 O 0.500 0.500 0.127 1
O5 O 0.500 0.500 0.479 1
O6 O 0.500 0.500 0.848 1
F1 F 0.500 0.000 0.311 1
```

Principal peaks in the range 10 to 90 degrees two-theta, in order of rising 2θ:
| (hkl) | Position (°2θ) | I/Imax |
| --- | --- | --- |
| 0 1 2 | 27.7 | 99 |
| 1 0 2 | 27.9 | 100 |
| 0 0 4 | 31.6 | 17 |
| 1 1 0 | 32.6 | 71 |
| 1 1 2 | 36.3 | 20 |
| 1 1 4 | 46.0 | 40 |
| 0 2 0 | 46.5 | 27 |
| 2 0 0 | 47.0 | 24 |
| 1 2 2 | 55.1 | 29 |
| 2 1 2 | 55.5 | 28 |